This entry pairs a crystal structure of Fe3Si with its computed X-ray powder pattern. Radiation: Cu Kα, 1.54184 Å. Structure: a GGA-PBE-relaxed structure.
Neutral-atom scattering factors, no anomalous dispersion.

Cell and atoms:
Lattice parameters (Å, degrees): 5.6026 5.6026 5.6026 90.00 90.00 90.00
Space group Fm-3m (No. 225)
One atom of each set of equivalent atoms:
Fe: 0.0000 0.0000 0.0000
Fe: 0.2500 0.2500 0.2500
Si: 0.0000 0.0000 0.5000

Top 9 peaks for 2θ = 10–90°, low angle first:
- (1 1 1), 2θ 27.6, intensity 6
- (2 0 0), 2θ 31.9, intensity 3
- (2 2 0), 2θ 45.8, intensity 100
- (3 1 1), 2θ 54.3, intensity 2
- (2 2 2), 2θ 56.9, intensity 1
- (4 0 0), 2θ 66.8, intensity 15
- (3 3 1), 2θ 73.7, intensity 1
- (4 2 0), 2θ 76.0, intensity 1
- (4 2 2), 2θ 84.8, intensity 29